Calculated powder diffractogram
Compound: NdGa2Ni
Radiation: Cu Kα (λ = 1.5418 Å)
Structure: a structure optimized by DFT (GGA-PBE)

```
NdGa2Ni
1.0
4.208 0.000 0.000
0.000 17.547 0.000
0.000 0.000 4.176
Nd Ga Ni
4 8 4
direct
0.000 0.142 0.000 Nd
0.000 0.858 0.000 Nd
0.500 0.358 0.000 Nd
0.500 0.642 0.000 Nd
0.000 0.000 0.500 Ga
0.000 0.291 0.500 Ga
0.000 0.500 0.000 Ga
0.000 0.709 0.500 Ga
0.500 0.000 0.000 Ga
0.500 0.209 0.500 Ga
0.500 0.500 0.500 Ga
0.500 0.791 0.500 Ga
0.000 0.427 0.500 Ni
0.000 0.573 0.500 Ni
0.500 0.073 0.500 Ni
0.500 0.927 0.500 Ni
```

Main lines, sorted by position (2θ from 10° to 90°):
29.5 deg, I 288
30.6 deg, I 255
33.9 deg, I 1000
42.0 deg, I 375
43.0 deg, I 282
43.3 deg, I 275
61.9 deg, I 230
62.7 deg, I 178


Calculated powder diffractogram
Compound: NaCaTaTiO6
Radiation: Cu Kα (λ = 1.5418 Å)
Structure: a structure optimized by DFT (GGA-PBE)

```
NaCaTaTiO6
1.0
5.456 0.000 0.000
0.000 5.551 0.000
-5.447 0.000 7.753
Na Ca Ta Ti O
2 2 2 2 12
direct
0.000 0.226 0.000 Na
0.000 0.774 0.500 Na
0.517 0.295 0.500 Ca
0.517 0.705 0.000 Ca
0.260 0.244 0.750 Ta
0.260 0.756 0.250 Ta
0.758 0.245 0.247 Ti
0.758 0.755 0.747 Ti
0.086 0.233 0.499 O
0.086 0.767 0.999 O
0.432 0.268 0.002 O
0.432 0.732 0.502 O
0.507 0.043 0.294 O
0.507 0.957 0.794 O
0.574 0.469 0.789 O
0.574 0.531 0.289 O
0.917 0.038 0.707 O
0.917 0.962 0.207 O
0.993 0.470 0.212 O
0.993 0.530 0.712 O
```

Main lines, sorted by position (2θ from 10° to 90°):
19.7 deg, I 431
19.9 deg, I 424
22.9 deg, I 964
32.3 deg, I 254
32.6 deg, I 1000
32.8 deg, I 232
38.6 deg, I 278
46.7 deg, I 330


Calculated powder diffractogram
Compound: Hg3ClO
Radiation: Cu Kα (λ = 1.5418 Å)
Structure: a structure optimized by DFT (GGA-PBE)

```
Hg3ClO
1.0
9.912 -4.625 0.000
9.912 4.625 0.000
-6.178 0.000 16.280
Hg Cl O
36 12 12
direct
0.010 0.315 0.843 Hg
0.035 0.293 0.366 Hg
0.053 0.139 0.535 Hg
0.108 0.872 0.821 Hg
0.128 0.892 0.679 Hg
0.139 0.053 0.035 Hg
0.211 0.447 0.321 Hg
0.214 0.250 0.111 Hg
0.220 0.450 0.473 Hg
0.250 0.214 0.611 Hg
0.293 0.035 0.866 Hg
0.315 0.010 0.343 Hg
0.344 0.625 0.990 Hg
0.375 0.656 0.510 Hg
0.404 0.458 0.702 Hg
0.447 0.211 0.821 Hg
0.450 0.220 0.973 Hg
0.458 0.404 0.202 Hg
0.542 0.596 0.798 Hg
0.550 0.780 0.027 Hg
0.553 0.789 0.179 Hg
0.596 0.542 0.298 Hg
0.625 0.344 0.490 Hg
0.656 0.375 0.010 Hg
0.685 0.990 0.657 Hg
0.707 0.965 0.134 Hg
0.750 0.786 0.389 Hg
0.780 0.550 0.527 Hg
0.786 0.750 0.889 Hg
0.789 0.553 0.679 Hg
0.861 0.947 0.965 Hg
0.872 0.108 0.321 Hg
0.892 0.128 0.179 Hg
0.947 0.861 0.465 Hg
0.965 0.707 0.634 Hg
0.990 0.685 0.157 Hg
0.118 0.557 0.782 Cl
0.148 0.770 0.345 Cl
0.161 0.540 0.015 Cl
0.230 0.852 0.155 Cl
0.443 0.882 0.718 Cl
0.460 0.839 0.485 Cl
0.540 0.161 0.515 Cl
0.557 0.118 0.282 Cl
0.770 0.148 0.845 Cl
0.839 0.460 0.985 Cl
0.852 0.230 0.655 Cl
0.882 0.443 0.218 Cl
0.130 0.857 0.947 O
0.143 0.870 0.553 O
0.193 0.486 0.597 O
0.206 0.454 0.196 O
0.454 0.206 0.696 O
0.486 0.193 0.097 O
0.514 0.807 0.903 O
0.546 0.794 0.304 O
0.794 0.546 0.804 O
0.807 0.514 0.403 O
0.857 0.130 0.447 O
0.870 0.143 0.053 O
```

Main lines, sorted by position (2θ from 10° to 90°):
11.2 deg, I 285
20.5 deg, I 666
25.9 deg, I 296
27.9 deg, I 477
30.8 deg, I 1000
31.4 deg, I 835
33.1 deg, I 863
49.2 deg, I 451